Structure and simulated X-ray powder pattern of RbCr2InBi (the GGA-PBE geometry in Alexandria; Cu Ka).
Intensities are scaled so that the largest is 100.

Peak list (8 most intense, 2θ = 5–70°, sorted by position)
hkl 1 0 1, 22.09°, rel. 100; hkl 1 1 0, 23.56°, rel. 70; hkl 1 1 1, 27.76°, rel. 85; hkl 0 0 2, 29.19°, rel. 62; hkl 2 0 0, 33.57°, rel. 86; hkl 1 1 2, 37.85°, rel. 42; hkl 2 1 1, 40.55°, rel. 43; hkl 2 0 2, 45.07°, rel. 74

Cell and atoms:
```
data_RbCr2InBi
_chemical_formula_sum 'Rb1 Cr2 In1 Bi1'
_symmetry_space_group_name_H-M 'P 1'
_symmetry_Int_Tables_number 1
_symmetry_space_group_name_Hall 'P 1'
_cell_length_a 5.3394
_cell_length_b 5.3394
_cell_length_c 6.1192
_cell_angle_alpha 90.00
_cell_angle_beta 90.00
_cell_angle_gamma 90.00
loop_
_atom_site_label
_atom_site_type_symbol
_atom_site_fract_x
_atom_site_fract_y
_atom_site_fract_z
_atom_site_occupancy
Rb1 Rb 0.0000 0.0000 0.0000 1
Cr1 Cr 0.0000 0.5000 0.5000 1
Cr2 Cr 0.5000 0.0000 0.5000 1
In1 In 0.0000 0.0000 0.5000 1
Bi1 Bi 0.5000 0.5000 0.0000 1
```